[1]
Pm2Y3S4: theoretical powder diffractogram (Cu Kα, 1.54184 Å), based on a PBE-relaxed structure.
Peak positions follow from Bragg's law for the DFT cell and can differ from measured ones.

Top 6 peaks for 2θ from 10° to 90°, by angle:
hkl 0 0 5, 27.7°, rel. 18.6; hkl 0 1 2, 28.5°, rel. 36.5; hkl 1 0 3, 31.1°, rel. 100.0; hkl 0 1 6, 42.9°, rel. 21.9; hkl 1 1 0, 46.2°, rel. 36.8; hkl 1 1 5, 54.7°, rel. 17.4

Cell and atoms:
Unit cell a=3.9291 b=3.9291 c=16.1070 alpha=90.00 beta=90.00 gamma=120.00
Space group P-3m1 (No. 164)
One atom of each set of equivalent atoms:
Pm1 0.3333 0.6667 0.2066 x2
Y1 0.0000 0.0000 0.0000 x1
Y2 0.3333 0.6667 0.5909 x2
S1 0.0000 0.0000 0.3119 x2
S2 0.3333 0.6667 0.9018 x2

---

[2]
La5Pr5Nd2: theoretical powder diffractogram (Cu Kα, 1.54184 Å), based on a PBE-relaxed structure.
Peak positions follow from Bragg's law for the DFT cell and can differ from measured ones.

Top 6 peaks for 2θ from 10° to 90°, by angle:
hkl 2 -1 1, 29.4°, rel. 100.0; hkl 1 1 2, 34.0°, rel. 33.9; hkl 1 -3 2, 34.2°, rel. 16.8; hkl 3 1 0, 48.9°, rel. 24.4; hkl 3 -3 0, 49.0°, rel. 12.1; hkl 3 0 3, 58.1°, rel. 29.1

Cell and atoms:
Unit cell a=6.4417 b=8.3081 c=9.1093 alpha=111.26 beta=90.19 gamma=104.80
Space group P-1 (No. 2)
One atom of each set of equivalent atoms:
La1 0.0000 0.0000 0.0000 x1
La2 0.0830 0.7494 0.5831 x2
La3 0.2502 0.2506 0.7507 x2
Pr1 0.3325 0.9993 0.3332 x2
Pr2 0.4163 0.7494 0.9165 x2
Pr3 0.5000 0.5000 0.5000 x1
Nd1 0.1662 0.5001 0.1661 x2

---

[3]
Na5B6C4: theoretical powder diffractogram (Cu Kα, 1.54184 Å), based on a PBE-relaxed structure.
Peak positions follow from Bragg's law for the DFT cell and can differ from measured ones.

Top 6 peaks for 2θ from 10° to 90°, by angle:
hkl 5 1 -2, 36.2°, rel. 12.2; hkl 0 2 2, 42.2°, rel. 100.0; hkl 0 0 4, 42.7°, rel. 25.4; hkl 5 3 -2, 65.2°, rel. 11.5; hkl 0 2 6, 77.8°, rel. 12.4; hkl 5 3 2, 81.1°, rel. 11.3

Cell and atoms:
Unit cell a=14.3347 b=4.9505 c=10.2377 alpha=90.00 beta=124.08 gamma=90.00
Space group C2/c (No. 15)
One atom of each set of equivalent atoms:
Na1 0.0000 0.0000 0.0000 x4
Na2 0.0988 0.4985 0.4978 x8
Na3 0.1997 0.9996 0.4980 x8
B1 0.0000 0.1678 0.7500 x4
B2 0.0000 0.1832 0.2500 x4
B3 0.1058 0.3364 0.7501 x8
B4 0.2000 0.1656 0.2500 x8
C1 0.1015 0.3328 0.2504 x8
C2 0.2028 0.1709 0.7500 x8

---

[4]
Li2Y2CuSi4: theoretical powder diffractogram (Cu Kα, 1.54184 Å), based on a PBE-relaxed structure.
Peak positions follow from Bragg's law for the DFT cell and can differ from measured ones.

Top 6 peaks for 2θ from 10° to 90°, by angle:
hkl 1 1 2, 29.7°, rel. 100.0; hkl 2 0 2, 36.8°, rel. 44.8; hkl 0 0 4, 42.1°, rel. 21.2; hkl 2 2 0, 43.1°, rel. 35.2; hkl 3 1 2, 53.2°, rel. 30.1; hkl 2 2 4, 61.8°, rel. 22.7

Cell and atoms:
Unit cell a=5.9427 b=5.9427 c=8.5878 alpha=90.00 beta=90.00 gamma=90.00
Space group I4/mmm (No. 139)
One atom of each set of equivalent atoms:
Li1 0.0000 0.0000 0.2164 x4
Y1 0.0000 0.5000 0.2500 x4
Cu1 0.0000 0.0000 0.5000 x2
Si1 0.2115 0.2115 0.0000 x8

---

[5]
Ba2AlPbAu6: theoretical powder diffractogram (Cu Kα, 1.54184 Å), based on a PBE-relaxed structure.
Peak positions follow from Bragg's law for the DFT cell and can differ from measured ones.

Top 6 peaks for 2θ from 10° to 90°, by angle:
hkl 0 1 0, 13.8°, rel. 42.6; hkl 1 -1 1, 26.7°, rel. 61.1; hkl 2 2 2, 34.4°, rel. 100.0; hkl 2 0 2, 35.4°, rel. 87.7; hkl 0 2 2, 36.4°, rel. 76.8; hkl 2 1 -1, 39.2°, rel. 59.1

Cell and atoms:
Unit cell a=6.1331 b=7.1200 c=7.5944 alpha=75.52 beta=66.20 gamma=64.54
Space group P-1 (No. 2)
One atom of each set of equivalent atoms:
Ba1 0.2437 0.2170 0.2963 x2
Al1 0.0000 0.0000 0.0000 x1
Pb1 0.5000 0.5000 0.5000 x1
Au1 0.2346 0.2444 0.7890 x2
Au2 0.2425 0.6203 0.8931 x2
Au3 0.2696 0.7554 0.2098 x2

---

[6]
CdInGaS4: theoretical powder diffractogram (Cu Kα, 1.54184 Å), based on a PBE-relaxed structure.
Peak positions follow from Bragg's law for the DFT cell and can differ from measured ones.

Top 6 peaks for 2θ from 10° to 90°, by angle:
hkl 0 0 3, 21.2°, rel. 43.0; hkl 1 0 0, 25.3°, rel. 67.7; hkl 0 1 1, 26.3°, rel. 100.0; hkl 0 1 2, 29.1°, rel. 93.2; hkl 0 1 5, 44.3°, rel. 70.7; hkl 1 1 0, 44.6°, rel. 71.2

Cell and atoms:
Unit cell a=4.0618 b=4.0618 c=12.5475 alpha=90.00 beta=90.00 gamma=120.00
Space group P3m1 (No. 156)
One atom of each set of equivalent atoms:
Cd1 0.0000 0.0000 0.0000 x1
In1 0.3333 0.6667 0.2870 x1
Ga1 0.3333 0.6667 0.7165 x1
S1 0.0000 0.0000 0.7979 x1
S2 0.3333 0.6667 0.0819 x1
S3 0.3333 0.6667 0.5496 x1
S4 0.6667 0.3333 0.3590 x1

---

[7]
Ca3Ga2GeAu9: theoretical powder diffractogram (Cu Kα, 1.54184 Å), based on a PBE-relaxed structure.
Peak positions follow from Bragg's law for the DFT cell and can differ from measured ones.

Top 6 peaks for 2θ from 10° to 90°, by angle:
hkl 1 0 1, 18.7°, rel. 48.4; hkl 0 2 1, 29.5°, rel. 100.0; hkl 2 0 2, 38.0°, rel. 82.0; hkl 2 2 0, 46.0°, rel. 47.8; hkl 0 4 2, 61.1°, rel. 20.5; hkl 2 2 3, 63.4°, rel. 23.2

Cell and atoms:
Unit cell a=7.8906 b=7.8906 c=6.5742 alpha=90.00 beta=90.00 gamma=120.00
Space group P-3m1 (No. 164)
One atom of each set of equivalent atoms:
Ca1 0.0000 0.0000 0.0000 x1
Ca2 0.3333 0.6667 0.6656 x2
Ga1 0.3333 0.6667 0.1639 x2
Ge1 0.0000 0.0000 0.5000 x1
Au1 0.0000 0.5000 0.0000 x3
Au2 0.1669 0.3337 0.3302 x6

---

[8]
Sr2SmCdS4: theoretical powder diffractogram (Cu Kα, 1.54184 Å), based on a PBE-relaxed structure.
Peak positions follow from Bragg's law for the DFT cell and can differ from measured ones.

Top 6 peaks for 2θ from 10° to 90°, by angle:
hkl 1 1 -1, 26.4°, rel. 40.8; hkl 2 0 -2, 30.3°, rel. 51.1; hkl 1 1 1, 30.6°, rel. 100.0; hkl 1 1 -3, 43.0°, rel. 38.1; hkl 0 2 0, 43.8°, rel. 35.7; hkl 3 1 -1, 44.2°, rel. 34.2

Cell and atoms:
Unit cell a=7.0744 b=4.1287 c=7.3413 alpha=90.00 beta=109.92 gamma=90.00
Space group P2/m (No. 10)
One atom of each set of equivalent atoms:
Sr1 0.0000 0.0000 0.0000 x1
Sr2 0.0000 0.5000 0.5000 x1
Sm1 0.5000 0.0000 0.5000 x1
Cd1 0.5000 0.5000 0.0000 x1
S1 0.2642 0.5000 0.2595 x2
S2 0.2716 0.0000 0.7515 x2